The following is a computed powder diffraction line list of Th2TlCd5. It was derived from a GGA-PBE-relaxed structure, using Cu Kα.
Intensities are scaled so that the largest is 100.

The 8 most intense peaks (15 to 90 degrees two-theta), low angle first:
Position (°2θ)	d [Å]	I_rel	h k l
26.54	3.358	34	1 1 2
30.21	2.958	100	1 3 2
31.64	2.827	76	1 5 0
33.44	2.679	51	1 1 3
38.18	2.357	49	2 0 0
41.00	2.201	30	0 6 3
42.00	2.151	21	1 5 3
57.26	1.609	22	2 6 3

Structural model:
```
data_Th2TlCd5
_chemical_formula_sum 'Th8 Tl4 Cd20'
_symmetry_space_group_name_H-M 'C m c m'
_symmetry_Int_Tables_number 63
_symmetry_space_group_name_Hall '-C 2c 2'
_cell_length_a 4.715
_cell_length_b 17.673
_cell_length_c 9.939
_cell_angle_alpha 90.00
_cell_angle_beta 90.00
_cell_angle_gamma 90.00
loop_
_atom_site_label
_atom_site_type_symbol
_atom_site_fract_x
_atom_site_fract_y
_atom_site_fract_z
Th1 Th 0.000 0.000 0.000
Th2 Th 0.000 0.193 0.250
Tl1 Tl 0.000 0.455 0.750
Cd1 Cd 0.000 0.192 0.604
Cd2 Cd 0.000 0.353 0.529
Cd3 Cd 0.000 0.388 0.250
```



The following is a computed powder diffraction line list of Y2ZrBe. It was derived from a GGA-PBE-relaxed structure, using Cu Kα.
Intensities are scaled so that the largest is 100.

The 8 most intense peaks (15 to 90 degrees two-theta), low angle first:
Position (°2θ)	d [Å]	I_rel	h k l
28.49	3.133	69	1 0 1
32.29	2.773	32	0 0 3
34.17	2.624	100	1 0 2
37.62	2.391	57	1 1 0
50.40	1.811	35	1 1 3
54.25	1.691	19	2 0 0
62.19	1.493	18	1 0 5
65.70	1.421	28	2 1 2

Structural model:
```
data_Y2ZrBe
_chemical_formula_sum 'Y2 Zr1 Be1'
_symmetry_space_group_name_H-M 'P 4 m m'
_symmetry_Int_Tables_number 99
_symmetry_space_group_name_Hall 'P 4 -2'
_cell_length_a 3.382
_cell_length_b 3.382
_cell_length_c 8.318
_cell_angle_alpha 90.00
_cell_angle_beta 90.00
_cell_angle_gamma 90.00
loop_
_atom_site_label
_atom_site_type_symbol
_atom_site_fract_x
_atom_site_fract_y
_atom_site_fract_z
Y1 Y 0.000 0.000 0.000
Y2 Y 0.500 0.500 0.338
Zr1 Zr 0.000 0.000 0.616
Be1 Be 0.500 0.500 0.782
```



The following is a computed powder diffraction line list of Fe13Mo9. It was derived from a GGA-PBE-relaxed structure, using Cu Kα.
Intensities are scaled so that the largest is 100.

The 8 most intense peaks (15 to 90 degrees two-theta), low angle first:
Position (°2θ)	d [Å]	I_rel	h k l
38.28	2.351	38	0 2 0
40.60	2.222	56	7 1 -4
40.75	2.214	58	7 1 1
42.45	2.129	50	9 1 -2
42.60	2.122	60	3 1 -5
44.81	2.023	100	3 1 4
45.67	1.986	39	4 2 -3
46.25	1.963	32	6 2 -1

Structural model:
```
data_Fe13Mo9
_chemical_formula_sum 'Fe52 Mo36'
_symmetry_space_group_name_H-M 'C 1 2/m 1'
_symmetry_Int_Tables_number 12
_symmetry_space_group_name_Hall '-C 2y'
_cell_length_a 21.495
_cell_length_b 4.703
_cell_length_c 11.914
_cell_angle_alpha 90.00
_cell_angle_beta 113.01
_cell_angle_gamma 90.00
loop_
_atom_site_label
_atom_site_type_symbol
_atom_site_fract_x
_atom_site_fract_y
_atom_site_fract_z
Fe1 Fe 0.047 0.000 0.216
Fe2 Fe 0.048 0.257 0.784
Fe3 Fe 0.104 0.000 0.672
Fe4 Fe 0.141 0.261 0.209
Fe5 Fe 0.148 0.000 0.887
Fe6 Fe 0.153 0.000 0.391
Fe7 Fe 0.158 0.251 0.566
Fe8 Fe 0.197 0.000 0.111
Fe9 Fe 0.243 0.000 0.330
Fe10 Fe 0.250 0.250 0.000
Mo1 Mo 0.024 0.500 0.112
Mo2 Mo 0.032 0.000 0.422
Mo3 Mo 0.054 0.500 0.591
Mo4 Mo 0.064 0.000 0.000
Mo5 Mo 0.080 0.500 0.358
Mo6 Mo 0.135 0.500 0.998
Mo7 Mo 0.169 0.500 0.791
Mo8 Mo 0.223 0.500 0.424
Mo9 Mo 0.241 0.000 0.782
```



The following is a computed powder diffraction line list of Rb2FeBiBr6. It was derived from a GGA-PBE-relaxed structure, using Cu Kα.
Intensities are scaled so that the largest is 100.

The 8 most intense peaks (15 to 90 degrees two-theta), low angle first:
Position (°2θ)	d [Å]	I_rel	h k l
15.87	5.585	65	0 0 2
22.51	3.949	66	1 1 2
27.66	3.225	55	2 0 2
31.91	2.804	50	0 0 4
32.12	2.787	100	2 2 0
45.91	1.977	71	2 2 4
46.06	1.971	35	4 0 0
57.13	1.612	36	4 0 4

Structural model:
```
data_Rb2FeBiBr6
_chemical_formula_sum 'Rb4 Fe2 Bi2 Br12'
_symmetry_space_group_name_H-M 'I 4/m m m'
_symmetry_Int_Tables_number 139
_symmetry_space_group_name_Hall '-I 4 2'
_cell_length_a 7.882
_cell_length_b 7.882
_cell_length_c 11.217
_cell_angle_alpha 90.00
_cell_angle_beta 90.00
_cell_angle_gamma 90.00
loop_
_atom_site_label
_atom_site_type_symbol
_atom_site_fract_x
_atom_site_fract_y
_atom_site_fract_z
Rb1 Rb 0.000 0.500 0.250
Fe1 Fe 0.000 0.000 0.000
Bi1 Bi 0.000 0.000 0.500
Br1 Br 0.000 0.000 0.234
Br2 Br 0.238 0.238 0.000
```



The following is a computed powder diffraction line list of ZnRu. It was derived from a GGA-PBE-relaxed structure, using Cu Kα.
Intensities are scaled so that the largest is 100.

The 8 most intense peaks (15 to 90 degrees two-theta), low angle first:
Position (°2θ)	d [Å]	I_rel	h k l
37.81	2.379	25	1 0 0
41.46	2.178	25	0 0 4
43.33	2.088	100	0 1 2
57.35	1.607	14	1 0 4
68.28	1.374	16	1 1 0
76.93	1.239	16	0 1 6
83.14	1.162	18	1 1 4
84.41	1.148	14	2 0 2

Structural model:
```
data_ZnRu
_chemical_formula_sum 'Zn2 Ru2'
_symmetry_space_group_name_H-M 'P -3 m 1'
_symmetry_Int_Tables_number 164
_symmetry_space_group_name_Hall '-P 3 2"'
_cell_length_a 2.7473
_cell_length_b 2.7473
_cell_length_c 8.7118
_cell_angle_alpha 90.00
_cell_angle_beta 90.00
_cell_angle_gamma 120.00
loop_
_atom_site_label
_atom_site_type_symbol
_atom_site_fract_x
_atom_site_fract_y
_atom_site_fract_z
Zn1 Zn 0.3333 0.6667 0.3701
Ru1 Ru 0.3333 0.6667 0.8823
```



The following is a computed powder diffraction line list of CrAgBr4. It was derived from a GGA-PBE-relaxed structure, using Cu Kα.
Intensities are scaled so that the largest is 100.

The 8 most intense peaks (15 to 90 degrees two-theta), low angle first:
Position (°2θ)	d [Å]	I_rel	h k l
27.22	3.276	45	1 0 -2
30.25	2.955	100	1 1 1
35.84	2.506	27	2 0 -2
37.96	2.371	19	2 0 2
39.00	2.310	47	2 1 1
44.10	2.054	29	0 1 3
48.20	1.888	18	0 2 0
49.40	1.845	29	3 1 -1

Structural model:
```
data_CrAgBr4
_chemical_formula_sum 'Cr1 Ag1 Br4'
_symmetry_space_group_name_H-M 'P 1 2/m 1'
_symmetry_Int_Tables_number 10
_symmetry_space_group_name_Hall '-P 2y'
_cell_length_a 6.527
_cell_length_b 3.776
_cell_length_c 7.353
_cell_angle_alpha 90.00
_cell_angle_beta 93.13
_cell_angle_gamma 90.00
loop_
_atom_site_label
_atom_site_type_symbol
_atom_site_fract_x
_atom_site_fract_y
_atom_site_fract_z
Cr1 Cr 0.000 0.000 0.000
Ag1 Ag 0.000 0.500 0.500
Br1 Br 0.210 0.000 0.723
Br2 Br 0.226 0.500 0.133
```



The following is a computed powder diffraction line list of Ta4Co4Si7. It was derived from a GGA-PBE-relaxed structure, using Cu Kα.
Intensities are scaled so that the largest is 100.

The 8 most intense peaks (15 to 90 degrees two-theta), low angle first:
Position (°2θ)	d [Å]	I_rel	h k l
27.86	3.202	18	3 0 1
31.37	2.852	31	3 2 1
34.55	2.596	25	4 1 1
40.25	2.241	100	5 0 1
42.90	2.108	41	3 1 2
43.27	2.091	20	6 0 0
67.70	1.384	22	5 0 3
68.28	1.374	20	7 3 2

Structural model:
```
data_Ta4Co4Si7
_chemical_formula_sum 'Ta16 Co16 Si28'
_symmetry_space_group_name_H-M 'I 4/m m m'
_symmetry_Int_Tables_number 139
_symmetry_space_group_name_Hall '-I 4 2'
_cell_length_a 12.546
_cell_length_b 12.546
_cell_length_c 4.977
_cell_angle_alpha 90.00
_cell_angle_beta 90.00
_cell_angle_gamma 90.00
loop_
_atom_site_label
_atom_site_type_symbol
_atom_site_fract_x
_atom_site_fract_y
_atom_site_fract_z
Ta1 Ta 0.000 0.190 0.000
Ta2 Ta 0.134 0.134 0.500
Co1 Co 0.149 0.351 0.250
Si1 Si 0.000 0.000 0.251
Si2 Si 0.000 0.297 0.500
Si3 Si 0.000 0.406 0.000
Si4 Si 0.209 0.209 0.000
```



The following is a computed powder diffraction line list of SmAl10Tc2. It was derived from a GGA-PBE-relaxed structure, using Cu Kα.
Intensities are scaled so that the largest is 100.

The 8 most intense peaks (15 to 90 degrees two-theta), low angle first:
Position (°2θ)	d [Å]	I_rel	h k l
17.11	5.182	35	0 2 0
27.41	3.253	50	2 0 2
27.73	3.217	27	2 2 1
33.84	2.649	31	0 2 3
36.32	2.474	28	3 1 2
38.96	2.312	35	0 0 4
39.33	2.291	85	4 0 0
39.93	2.258	100	0 4 2

Structural model:
```
data_SmAl10Tc2
_chemical_formula_sum 'Sm4 Al40 Tc8'
_symmetry_space_group_name_H-M 'C m c m'
_symmetry_Int_Tables_number 63
_symmetry_space_group_name_Hall '-C 2c 2'
_cell_length_a 9.157
_cell_length_b 10.364
_cell_length_c 9.247
_cell_angle_alpha 90.00
_cell_angle_beta 90.00
_cell_angle_gamma 90.00
loop_
_atom_site_label
_atom_site_type_symbol
_atom_site_fract_x
_atom_site_fract_y
_atom_site_fract_z
Sm1 Sm 0.000 0.126 0.250
Al1 Al 0.000 0.154 0.598
Al2 Al 0.000 0.376 0.039
Al3 Al 0.155 0.371 0.750
Al4 Al 0.228 0.000 0.000
Al5 Al 0.228 0.365 0.250
Tc1 Tc 0.250 0.250 0.000
```



The following is a computed powder diffraction line list of Sr2CaAg. It was derived from a GGA-PBE-relaxed structure, using Cu Kα.
Intensities are scaled so that the largest is 100.

The 8 most intense peaks (15 to 90 degrees two-theta), low angle first:
Position (°2θ)	d [Å]	I_rel	h k l
16.21	5.469	46	1 0 1
28.02	3.185	63	0 3 1
29.69	3.009	29	0 2 2
30.08	2.971	100	1 3 1
31.65	2.827	32	1 2 2
33.39	2.684	45	2 3 0
33.84	2.649	43	0 4 0
34.88	2.572	28	3 0 1

Structural model:
```
data_Sr2CaAg
_chemical_formula_sum 'Sr8 Ca4 Ag4'
_symmetry_space_group_name_H-M 'P n m a'
_symmetry_Int_Tables_number 62
_symmetry_space_group_name_Hall '-P 2ac 2n'
_cell_length_a 8.243
_cell_length_b 10.608
_cell_length_c 7.309
_cell_angle_alpha 90.00
_cell_angle_beta 90.00
_cell_angle_gamma 90.00
loop_
_atom_site_label
_atom_site_type_symbol
_atom_site_fract_x
_atom_site_fract_y
_atom_site_fract_z
Sr1 Sr 0.180 0.063 0.164
Ca1 Ca 0.038 0.250 0.650
Ag1 Ag 0.124 0.750 0.967
```